Structure and computed XRD peak list of Li2Ti3MnO8 (a crystal structure in Alexandria, relaxed with PBE+U; copper Kα).
Intensities are scaled so that the largest is 100.

Most intense lines, 10 to 90 degrees two-theta, sorted by position:
d [Å]  I_rel
6.032  19
4.925  47
4.265  21
3.815  25
3.016  23
2.572  100
2.132  42
1.642  43
1.508  55
1.110  15

Atomic structure:
```
data_Li2Ti3MnO8
_chemical_formula_sum 'Li8 Ti12 Mn4 O32'
_symmetry_space_group_name_H-M 'P 21 3'
_symmetry_Int_Tables_number 198
_symmetry_space_group_name_Hall 'P 2ac 2ab 3'
_cell_length_a 8.5299
_cell_length_b 8.5299
_cell_length_c 8.5299
_cell_angle_alpha 90.00
_cell_angle_beta 90.00
_cell_angle_gamma 90.00
loop_
_atom_site_label
_atom_site_fract_x
_atom_site_fract_y
_atom_site_fract_z
_atom_site_occupancy
Li1 0.1263 0.1263 0.1263 1
Li2 0.2484 0.2516 0.7484 1
Ti1 0.1188 0.3780 0.3729 1
Mn1 0.0004 0.9996 0.4996 1
O1 0.1015 0.8710 0.1074 1
O2 0.1124 0.3876 0.6124 1
O3 0.1232 0.8510 0.6429 1
O4 0.1378 0.6378 0.8622 1
```